Starting from a crystal structure in Alexandria, relaxed with GGA-PBE, the powder XRD pattern of CaGaGeOs was calculated for Cu Kα, 1.54184 Å.
Lines closer than 0.1° are merged.

Most intense lines, 2θ from 10° to 90°, most intense first:
Position (°2θ)  intensity
16.5  100
37.1  76
42.4  67
45.8  47
26.6  43
51.8  22
57.5  21
24.7  20
69.1  20
74.0  20
55.0  19
84.5  17

```
data_CaGaGeOs
_space_group_name_H-M_alt 'R 3 m'
_space_group_IT_number 160
_space_group_name_Hall 'R 3 -2"'
_cell_length_a 4.2647
_cell_length_b 4.2647
_cell_length_c 16.0849
_cell_angle_alpha 90.00
_cell_angle_beta 90.00
_cell_angle_gamma 120.00
loop_
_atom_site_label
_atom_site_type_symbol
_atom_site_fract_x
_atom_site_fract_y
_atom_site_fract_z
_atom_site_occupancy
Ca1 Ca 0.0000 0.0000 0.0000 1
Ga1 Ga 0.0000 0.0000 0.4459 1
Ge1 Ge 0.0000 0.0000 0.1999 1
Os1 Os 0.0000 0.0000 0.8153 1
```